# Tm2AlGe3
Calculated powder diffraction line list, Cu Kα (λ = 1.5418 Å). Input: a DFT-relaxed cell (PBE, the Materials Project).
No peak broadening, texture or thermal motion is included.

Main lines, in order of rising 2θ (15° ≤ 2θ ≤ 90°):
- 24.16 deg, intensity 23, (1 0 4)
- 32.56 deg, intensity 40, (1 1 4)
- 33.51 deg, intensity 23, (0 1 5)
- 34.15 deg, intensity 64, (2 1 0)
- 34.54 deg, intensity 31, (2 1 1)
- 36.10 deg, intensity 100, (1 1 5)
- 43.80 deg, intensity 39, (0 2 0)
- 47.79 deg, intensity 32, (3 0 5)
- 66.82 deg, intensity 23, (3 2 5)
- 75.42 deg, intensity 30, (1 3 5)

Crystal structure
a = 6.7986 Å, b = 4.1339 Å, c = 17.5308 Å
α = 90.00°, β = 90.00°, γ = 90.00°
Space group Pnma (No. 62)
Inequivalent atoms, fractional coordinates:
Tm  0.1660  0.2500  0.2032 [4 per cell]
Tm  0.1676  0.2500  0.4146 [4 per cell]
Al  0.0488  0.7500  0.0642 [4 per cell]
Ge  0.0360  0.2500  0.6717 [4 per cell]
Ge  0.1462  0.2500  0.8116 [4 per cell]
Ge  0.2472  0.7500  0.5347 [4 per cell]